Structure and simulated powder XRD pattern of Ca3InPb (a PBE-relaxed structure; Cu Ka).
Peak positions follow from Bragg's law for the DFT cell and can differ from measured ones.

Most intense lines, 2θ from 10° to 90°, in order of rising 2θ:
2θ/deg	d/Å	intensity
15.19	5.832	65
17.52	5.061	42
23.05	3.858	56
23.27	3.822	49
29.10	3.068	63
32.21	2.779	95
32.70	2.739	100
35.48	2.530	70

Crystal structure
abc: 6.911 5.061 9.795
angles: 90.00 94.09 90.00
Positions (direct):
Ca  0.000  0.000  0.000
Ca  0.039  0.500  0.371
Ca  0.309  0.000  0.646
Ca  0.489  0.000  0.291
Ca  0.617  0.500  0.833
Ca  0.811  0.000  0.616
In  0.303  0.500  0.087
In  0.490  0.000  0.974
Pb  0.071  0.500  0.771
Pb  0.547  0.500  0.495

***

Structure and simulated powder XRD pattern of Ca2InPb4 (a PBE-relaxed structure; Cu Ka).
Peak positions follow from Bragg's law for the DFT cell and can differ from measured ones.

Most intense lines, 2θ from 10° to 90°, in order of rising 2θ:
2θ/deg	d/Å	intensity
17.14	5.174	74
27.44	3.251	50
31.45	2.844	100
32.53	2.752	53
34.68	2.587	39
38.28	2.351	34
42.22	2.141	65
52.61	1.740	29

Crystal structure
abc: 8.309 8.309 6.810
angles: 90.00 90.00 77.03
Positions (direct):
Ca  0.147  0.147  0.000
Ca  0.353  0.353  0.500
Ca  0.647  0.647  0.500
Ca  0.853  0.853  0.000
In  0.000  0.000  0.500
In  0.500  0.500  0.000
Pb  0.000  0.500  0.250
Pb  0.000  0.500  0.750
Pb  0.250  0.750  0.251
Pb  0.250  0.750  0.751
Pb  0.500  0.000  0.250
Pb  0.500  0.000  0.750
Pb  0.750  0.250  0.249
Pb  0.750  0.250  0.749

***

Structure and simulated powder XRD pattern of CaIn2Pb5 (a PBE-relaxed structure; Cu Ka).
Peak positions follow from Bragg's law for the DFT cell and can differ from measured ones.

Most intense lines, 2θ from 10° to 90°, in order of rising 2θ:
2θ/deg	d/Å	intensity
28.81	3.099	94
29.97	2.982	78
31.23	2.864	53
32.56	2.750	100
34.11	2.628	98
40.68	2.218	44
42.68	2.119	61
65.65	1.422	46

Crystal structure
abc: 9.218 9.218 6.645
angles: 111.12 111.12 84.55
Positions (direct):
Ca  0.000  0.500  0.000
Ca  0.500  0.000  0.500
In  0.052  0.679  0.615
In  0.321  0.948  0.885
In  0.679  0.052  0.115
In  0.948  0.321  0.385
Pb  0.072  0.928  0.250
Pb  0.256  0.256  0.257
Pb  0.256  0.256  0.757
Pb  0.362  0.637  0.490
Pb  0.363  0.638  0.010
Pb  0.637  0.362  0.990
Pb  0.638  0.363  0.510
Pb  0.744  0.744  0.243
Pb  0.744  0.744  0.743
Pb  0.928  0.072  0.750

***

Structure and simulated powder XRD pattern of Ca3In12Pb (a PBE-relaxed structure; Cu Ka).
Peak positions follow from Bragg's law for the DFT cell and can differ from measured ones.

Most intense lines, 2θ from 10° to 90°, in order of rising 2θ:
2θ/deg	d/Å	intensity
32.61	2.746	100
37.68	2.387	34
38.14	2.360	16
54.35	1.688	11
54.70	1.678	22
64.84	1.438	26
65.46	1.426	12
68.33	1.373	11

Crystal structure
abc: 4.774 4.774 18.876
angles: 90.00 90.00 90.00
Positions (direct):
Ca  0.000  0.000  0.000
Ca  0.000  0.000  0.248
Ca  0.000  0.000  0.752
In  0.000  0.500  0.124
In  0.000  0.500  0.372
In  0.000  0.500  0.628
In  0.000  0.500  0.876
In  0.500  0.000  0.124
In  0.500  0.000  0.372
In  0.500  0.000  0.628
In  0.500  0.000  0.876
In  0.500  0.500  0.000
In  0.500  0.500  0.244
In  0.500  0.500  0.500
In  0.500  0.500  0.756
Pb  0.000  0.000  0.500

***

Structure and simulated powder XRD pattern of Ca2In4Pb (a PBE-relaxed structure; Cu Ka).
Peak positions follow from Bragg's law for the DFT cell and can differ from measured ones.

Most intense lines, 2θ from 10° to 90°, in order of rising 2θ:
2θ/deg	d/Å	intensity
16.32	5.432	39
32.98	2.716	100
34.26	2.617	23
40.05	2.251	15
40.23	2.242	14
53.70	1.707	12
53.85	1.703	12
60.54	1.529	17

Crystal structure
abc: 6.905 6.892 6.355
angles: 62.68 62.47 54.85
Positions (direct):
Ca  0.000  0.000  0.500
Ca  0.500  0.500  0.000
In  0.000  0.500  0.000
In  0.000  0.500  0.500
In  0.500  0.000  0.000
In  0.500  0.000  0.500
Pb  0.000  0.000  0.000

***

Structure and simulated powder XRD pattern of CaIn4PbSe8 (a PBE-relaxed structure; Cu Ka).
Peak positions follow from Bragg's law for the DFT cell and can differ from measured ones.

Most intense lines, 2θ from 10° to 90°, in order of rising 2θ:
2θ/deg	d/Å	intensity
13.01	6.805	39
24.59	3.620	28
24.94	3.570	56
30.14	2.965	100
39.51	2.281	25
42.71	2.117	57
43.58	2.077	63
79.42	1.207	19

Crystal structure
abc: 8.471 8.471 8.471
angles: 58.73 58.73 58.73
Positions (direct):
Ca  0.000  0.000  0.000
In  0.370  0.370  0.881
In  0.370  0.881  0.370
In  0.756  0.756  0.756
In  0.881  0.370  0.370
Pb  0.365  0.365  0.365
Se  0.116  0.116  0.594
Se  0.116  0.594  0.116
Se  0.135  0.135  0.135
Se  0.149  0.620  0.620
Se  0.594  0.116  0.116
Se  0.616  0.616  0.616
Se  0.620  0.149  0.620
Se  0.620  0.620  0.149

***

Structure and simulated powder XRD pattern of Ca4InPd (a PBE-relaxed structure; Cu Ka).
Peak positions follow from Bragg's law for the DFT cell and can differ from measured ones.

Most intense lines, 2θ from 10° to 90°, in order of rising 2θ:
2θ/deg	d/Å	intensity
12.64	7.004	72
20.51	4.331	56
21.62	4.110	65
30.03	2.975	85
32.70	2.738	85
33.61	2.666	93
35.27	2.545	100
36.59	2.456	66

Crystal structure
abc: 8.394 8.394 6.068
angles: 101.20 101.20 113.09
Positions (direct):
Ca  0.056  0.712  0.936
Ca  0.220  0.366  0.651
Ca  0.288  0.944  0.564
Ca  0.366  0.220  0.151
Ca  0.634  0.780  0.849
Ca  0.712  0.056  0.436
Ca  0.780  0.634  0.349
Ca  0.944  0.288  0.064
In  0.369  0.631  0.250
In  0.631  0.369  0.750
Pd  0.001  0.999  0.750
Pd  0.999  0.001  0.250

***

Structure and simulated powder XRD pattern of Ca8InPd2 (a PBE-relaxed structure; Cu Ka).
Peak positions follow from Bragg's law for the DFT cell and can differ from measured ones.

Most intense lines, 2θ from 10° to 90°, in order of rising 2θ:
2θ/deg	d/Å	intensity
17.79	4.986	54
19.89	4.463	74
20.59	4.313	76
21.98	4.045	57
30.78	2.905	93
31.09	2.876	93
36.09	2.489	100
37.05	2.427	91

Crystal structure
abc: 8.217 8.217 5.753
angles: 97.92 97.92 111.84
Positions (direct):
Ca  0.000  0.000  0.000
Ca  0.051  0.314  0.615
Ca  0.134  0.621  0.196
Ca  0.314  0.051  0.615
Ca  0.442  0.704  0.777
Ca  0.621  0.134  0.196
Ca  0.704  0.442  0.777
Ca  0.755  0.755  0.392
In  0.378  0.378  0.195
Pd  0.061  0.694  0.696
Pd  0.694  0.061  0.696

***

Structure and simulated powder XRD pattern of Ca12InPd6 (a PBE-relaxed structure; Cu Ka).
Peak positions follow from Bragg's law for the DFT cell and can differ from measured ones.

Most intense lines, 2θ from 10° to 90°, in order of rising 2θ:
2θ/deg	d/Å	intensity
12.13	7.299	12
17.18	5.161	49
32.46	2.759	100
36.95	2.433	19
44.77	2.024	47
53.25	1.720	16
63.76	1.460	12
79.96	1.200	15

Crystal structure
abc: 8.939 8.939 8.939
angles: 109.47 109.47 109.47
Positions (direct):
Ca  0.124  0.820  0.304
Ca  0.180  0.304  0.484
Ca  0.180  0.696  0.876
Ca  0.304  0.124  0.820
Ca  0.304  0.484  0.180
Ca  0.484  0.180  0.304
Ca  0.516  0.820  0.696
Ca  0.696  0.516  0.820
Ca  0.696  0.876  0.180
Ca  0.820  0.304  0.124
Ca  0.820  0.696  0.516
Ca  0.876  0.180  0.696
In  0.000  0.000  0.000
Pd  0.130  0.630  0.500
Pd  0.370  0.500  0.870
Pd  0.500  0.130  0.630
Pd  0.500  0.870  0.370
Pd  0.630  0.500  0.130
Pd  0.870  0.370  0.500

***

Structure and simulated powder XRD pattern of Ca5In4Pd (a PBE-relaxed structure; Cu Ka).
Peak positions follow from Bragg's law for the DFT cell and can differ from measured ones.

Most intense lines, 2θ from 10° to 90°, in order of rising 2θ:
2θ/deg	d/Å	intensity
23.37	3.807	13
23.51	3.784	27
33.39	2.684	100
33.49	2.676	52
48.09	1.892	18
59.61	1.551	15
59.81	1.546	35
80.19	1.197	15

Crystal structure
abc: 3.784 3.784 19.035
angles: 90.00 90.00 90.00
Positions (direct):
Ca  0.000  0.000  0.000
Ca  0.000  0.000  0.207
Ca  0.000  0.000  0.413
Ca  0.000  0.000  0.587
Ca  0.000  0.000  0.793
In  0.500  0.500  0.104
In  0.500  0.500  0.309
In  0.500  0.500  0.691
In  0.500  0.500  0.896
Pd  0.500  0.500  0.500

***

Structure and simulated powder XRD pattern of CaIn4Pd4 (a PBE-relaxed structure; Cu Ka).
Peak positions follow from Bragg's law for the DFT cell and can differ from measured ones.

Most intense lines, 2θ from 10° to 90°, in order of rising 2θ:
2θ/deg	d/Å	intensity
14.02	6.318	71
19.87	4.467	28
31.67	2.825	100
34.87	2.573	55
40.40	2.232	36
42.95	2.106	25
45.45	1.996	77
62.40	1.488	29

Crystal structure
abc: 8.935 8.935 5.374
angles: 90.00 90.00 90.00
Positions (direct):
Ca  0.250  0.250  0.250
Ca  0.750  0.750  0.750
In  0.095  0.632  0.158
In  0.132  0.905  0.658
In  0.368  0.595  0.658
In  0.405  0.868  0.158
In  0.595  0.132  0.842
In  0.632  0.405  0.342
In  0.868  0.095  0.342
In  0.905  0.368  0.842
Pd  0.062  0.605  0.660
Pd  0.105  0.938  0.160
Pd  0.395  0.562  0.160
Pd  0.438  0.895  0.660
Pd  0.562  0.105  0.340
Pd  0.605  0.438  0.840
Pd  0.895  0.062  0.840
Pd  0.938  0.395  0.340

***

Structure and simulated powder XRD pattern of CaIn4Pd2 (a PBE-relaxed structure; Cu Ka).
Peak positions follow from Bragg's law for the DFT cell and can differ from measured ones.

Most intense lines, 2θ from 10° to 90°, in order of rising 2θ:
2θ/deg	d/Å	intensity
31.45	2.845	30
32.58	2.748	100
33.52	2.673	66
36.18	2.483	27
39.12	2.303	31
39.62	2.275	68
42.68	2.119	45
43.05	2.101	53

Crystal structure
abc: 18.437 4.550 7.437
angles: 90.00 90.00 90.00
Positions (direct):
Ca  0.143  0.250  0.042
Ca  0.357  0.750  0.542
Ca  0.643  0.250  0.458
Ca  0.857  0.750  0.958
In  0.034  0.750  0.862
In  0.070  0.250  0.493
In  0.187  0.750  0.340
In  0.190  0.750  0.749
In  0.310  0.250  0.249
In  0.313  0.250  0.840
In  0.430  0.750  0.993
In  0.466  0.250  0.362
In  0.534  0.750  0.638
In  0.570  0.250  0.007
In  0.687  0.750  0.160
In  0.690  0.750  0.751
In  0.810  0.250  0.251
In  0.813  0.250  0.660
In  0.930  0.750  0.507
In  0.966  0.250  0.138
Pd  0.041  0.750  0.253
Pd  0.219  0.250  0.548
Pd  0.281  0.750  0.048
Pd  0.459  0.250  0.753
Pd  0.541  0.750  0.247
Pd  0.719  0.250  0.952
Pd  0.781  0.750  0.452
Pd  0.959  0.250  0.747